For HgBi5Pt3, a structure optimized by DFT (GGA-PBE) gives the computed XRD peak list in this record (a wavelength of 1.5418 Å).
Lines closer than 0.1° are merged.

Main lines, by angle (2θ = 15–90°):
two_theta, Rel. int.
19.7, 33
29.1, 100
37.3, 26
38.0, 40
43.1, 30
47.9, 32

Structural model:
Unit cell a=7.632 b=7.632 c=10.187 alpha=108.19 beta=108.19 gamma=72.38
Element x y z (fractional)
1 Hg 0.086 0.086 0.291
2 Hg 0.914 0.914 0.709
3 Bi 0.021 0.613 0.382
4 Bi 0.233 0.233 0.023
5 Bi 0.303 0.697 0.000
6 Bi 0.387 0.979 0.618
7 Bi 0.435 0.435 0.625
8 Bi 0.565 0.565 0.375
9 Bi 0.613 0.021 0.382
10 Bi 0.697 0.303 0.000
11 Bi 0.767 0.767 0.977
12 Bi 0.979 0.387 0.618
13 Pt 0.000 0.000 0.000
14 Pt 0.000 0.000 0.500
15 Pt 0.329 0.329 0.311
16 Pt 0.331 0.331 0.819
17 Pt 0.669 0.669 0.181
18 Pt 0.671 0.671 0.689


For Pu2Hg2Bi, a structure optimized by DFT (GGA-PBE) gives the computed XRD peak list in this record (a wavelength of 1.5418 Å).
Lines closer than 0.1° are merged.

Main lines, by angle (2θ = 15–90°):
two_theta, Rel. int.
31.6, 100
34.6, 81
35.5, 74
43.8, 21
57.6, 38
65.0, 26

Structural model:
Unit cell a=10.059 b=10.059 c=3.331 alpha=99.41 beta=99.41 gamma=23.73
Element x y z (fractional)
1 Pu 0.106 0.106 0.098
2 Pu 0.894 0.894 0.902
3 Hg 0.295 0.295 0.300
4 Hg 0.705 0.705 0.700
5 Bi 0.500 0.500 0.500


For Pu3HgBi5, a structure optimized by DFT (GGA-PBE) gives the computed XRD peak list in this record (a wavelength of 1.5418 Å).
Lines closer than 0.1° are merged.

Main lines, by angle (2θ = 15–90°):
two_theta, Rel. int.
32.2, 86
32.7, 100
34.1, 31
46.6, 23
55.7, 25
64.1, 30

Structural model:
Unit cell a=9.478 b=9.478 c=3.431 alpha=90.00 beta=90.00 gamma=120.00
Element x y z (fractional)
1 Pu 0.000 0.637 0.000
2 Pu 0.363 0.363 0.000
3 Pu 0.637 0.000 0.000
4 Hg 0.000 0.000 0.000
5 Bi 0.000 0.292 0.500
6 Bi 0.292 0.000 0.500
7 Bi 0.333 0.667 0.500
8 Bi 0.667 0.333 0.500
9 Bi 0.708 0.708 0.500


For Rb2Hg3Bi5, a structure optimized by DFT (GGA-PBE) gives the computed XRD peak list in this record (a wavelength of 1.5418 Å).
Lines closer than 0.1° are merged.

Main lines, by angle (2θ = 15–90°):
two_theta, Rel. int.
18.3, 60
27.2, 70
27.9, 75
34.5, 100
35.7, 51
36.2, 57

Structural model:
Unit cell a=10.733 b=10.733 c=10.733 alpha=101.37 beta=91.80 gamma=140.49
Element x y z (fractional)
1 Rb 0.128 0.234 0.362
2 Rb 0.372 0.734 0.106
3 Rb 0.628 0.266 0.894
4 Rb 0.872 0.766 0.638
5 Hg 0.107 0.654 0.761
6 Hg 0.250 0.250 0.000
7 Hg 0.393 0.154 0.547
8 Hg 0.607 0.846 0.453
9 Hg 0.750 0.750 0.000
10 Hg 0.893 0.346 0.239
11 Bi 0.021 0.750 0.271
12 Bi 0.133 0.877 0.010
13 Bi 0.250 0.750 0.500
14 Bi 0.367 0.377 0.744
15 Bi 0.479 0.750 0.729
16 Bi 0.521 0.250 0.271
17 Bi 0.633 0.623 0.256
18 Bi 0.750 0.250 0.500
19 Bi 0.867 0.123 0.990
20 Bi 0.979 0.250 0.729


For Rb3Hg3Bi2, a structure optimized by DFT (GGA-PBE) gives the computed XRD peak list in this record (a wavelength of 1.5418 Å).
Lines closer than 0.1° are merged.

Main lines, by angle (2θ = 15–90°):
two_theta, Rel. int.
26.6, 100
27.1, 64
31.6, 43
33.2, 70
33.5, 68
39.1, 47

Structural model:
Unit cell a=6.947 b=6.947 c=18.236 alpha=90.00 beta=90.00 gamma=134.66
Element x y z (fractional)
1 Rb 0.092 0.908 0.605
2 Rb 0.092 0.908 0.895
3 Rb 0.393 0.607 0.750
4 Rb 0.607 0.393 0.250
5 Rb 0.908 0.092 0.105
6 Rb 0.908 0.092 0.395
7 Hg 0.312 0.688 0.250
8 Hg 0.387 0.613 0.533
9 Hg 0.387 0.613 0.967
10 Hg 0.613 0.387 0.033
11 Hg 0.613 0.387 0.467
12 Hg 0.688 0.312 0.750
13 Bi 0.201 0.799 0.097
14 Bi 0.201 0.799 0.403
15 Bi 0.799 0.201 0.597
16 Bi 0.799 0.201 0.903


For Rb3Hg8Bi3, a structure optimized by DFT (GGA-PBE) gives the computed XRD peak list in this record (a wavelength of 1.5418 Å).
Lines closer than 0.1° are merged.

Main lines, by angle (2θ = 15–90°):
two_theta, Rel. int.
28.6, 67
29.0, 82
33.1, 100
33.5, 65
37.2, 68
37.9, 69

Structural model:
Unit cell a=9.941 b=9.941 c=10.737 alpha=121.58 beta=121.58 gamma=31.57
Element x y z (fractional)
1 Rb 0.000 0.000 0.000
2 Rb 0.298 0.298 0.293
3 Rb 0.702 0.702 0.707
4 Hg 0.143 0.143 0.863
5 Hg 0.157 0.157 0.441
6 Hg 0.349 0.349 0.995
7 Hg 0.498 0.498 0.323
8 Hg 0.502 0.502 0.677
9 Hg 0.651 0.651 0.005
10 Hg 0.843 0.843 0.559
11 Hg 0.857 0.857 0.137
12 Bi 0.000 0.000 0.500
13 Bi 0.350 0.350 0.714
14 Bi 0.650 0.650 0.286


For Rb3Hg8Bi3, a structure optimized by DFT (GGA-PBE) gives the computed XRD peak list in this record (a wavelength of 1.5418 Å).
Lines closer than 0.1° are merged.

Main lines, by angle (2θ = 15–90°):
two_theta, Rel. int.
28.9, 100
31.8, 42
33.6, 40
34.3, 60
37.4, 39
48.8, 28

Structural model:
Unit cell a=10.066 b=10.066 c=10.066 alpha=149.90 beta=113.42 gamma=74.77
Element x y z (fractional)
1 Rb 0.000 0.000 0.000
2 Rb 0.300 0.300 0.000
3 Rb 0.700 0.700 0.000
4 Hg 0.031 0.667 0.365
5 Hg 0.138 0.857 0.282
6 Hg 0.302 0.667 0.635
7 Hg 0.425 0.143 0.282
8 Hg 0.575 0.857 0.718
9 Hg 0.698 0.333 0.365
10 Hg 0.862 0.143 0.718
11 Hg 0.969 0.333 0.635
12 Bi 0.293 0.500 0.793
13 Bi 0.500 0.000 0.500
14 Bi 0.707 0.500 0.207


For RbHgBi, a structure optimized by DFT (GGA-PBE) gives the computed XRD peak list in this record (a wavelength of 1.5418 Å).
Lines closer than 0.1° are merged.

Main lines, by angle (2θ = 15–90°):
two_theta, Rel. int.
25.6, 51
27.4, 100
30.0, 80
32.6, 44
33.0, 47
37.6, 59

Structural model:
Unit cell a=5.955 b=8.450 c=9.985 alpha=90.00 beta=90.05 gamma=90.00
Element x y z (fractional)
1 Rb 0.000 0.160 0.172
2 Rb 0.000 0.340 0.672
3 Rb 0.000 0.660 0.328
4 Rb 0.000 0.840 0.828
5 Hg 0.499 0.044 0.638
6 Hg 0.499 0.456 0.138
7 Hg 0.501 0.544 0.862
8 Hg 0.501 0.956 0.362
9 Bi 0.500 0.160 0.913
10 Bi 0.500 0.340 0.413
11 Bi 0.500 0.660 0.587
12 Bi 0.500 0.840 0.087


For Rb2Hg10Bi, a structure optimized by DFT (GGA-PBE) gives the computed XRD peak list in this record (a wavelength of 1.5418 Å).
Lines closer than 0.1° are merged.

Main lines, by angle (2θ = 15–90°):
two_theta, Rel. int.
25.7, 74
31.5, 79
31.7, 94
33.8, 71
34.9, 79
39.1, 100

Structural model:
Unit cell a=10.851 b=12.904 c=6.916 alpha=90.00 beta=90.00 gamma=90.00
Element x y z (fractional)
1 Rb 0.211 0.079 0.000
2 Rb 0.289 0.579 0.000
3 Rb 0.711 0.421 0.000
4 Rb 0.789 0.921 0.000
5 Hg 0.036 0.634 0.500
6 Hg 0.098 0.810 0.215
7 Hg 0.098 0.810 0.785
8 Hg 0.187 0.208 0.500
9 Hg 0.218 0.455 0.500
10 Hg 0.282 0.955 0.500
11 Hg 0.313 0.708 0.500
12 Hg 0.402 0.310 0.215
13 Hg 0.402 0.310 0.785
14 Hg 0.464 0.134 0.500
15 Hg 0.536 0.866 0.500
16 Hg 0.598 0.690 0.215
17 Hg 0.598 0.690 0.785
18 Hg 0.687 0.292 0.500
19 Hg 0.718 0.045 0.500
20 Hg 0.782 0.545 0.500
21 Hg 0.813 0.792 0.500
22 Hg 0.902 0.190 0.215
23 Hg 0.902 0.190 0.785
24 Hg 0.964 0.366 0.500
25 Bi 0.000 0.000 0.500
26 Bi 0.500 0.500 0.500


For Rb3Hg8Bi, a structure optimized by DFT (GGA-PBE) gives the computed XRD peak list in this record (a wavelength of 1.5418 Å).
Lines closer than 0.1° are merged.

Main lines, by angle (2θ = 15–90°):
two_theta, Rel. int.
16.4, 46
31.5, 46
31.9, 100
33.1, 78
38.9, 33
55.1, 34

Structural model:
Unit cell a=11.066 b=11.066 c=11.066 alpha=35.04 beta=35.04 gamma=35.04
Element x y z (fractional)
1 Rb 0.000 0.000 0.000
2 Rb 0.128 0.128 0.128
3 Rb 0.514 0.514 0.514
4 Hg 0.067 0.067 0.565
5 Hg 0.067 0.565 0.067
6 Hg 0.071 0.564 0.564
7 Hg 0.315 0.315 0.315
8 Hg 0.564 0.071 0.564
9 Hg 0.564 0.564 0.071
10 Hg 0.565 0.067 0.067
11 Hg 0.815 0.815 0.815
12 Bi 0.646 0.646 0.646


For RbHgBi2, a structure optimized by DFT (GGA-PBE) gives the computed XRD peak list in this record (a wavelength of 1.5418 Å).
Lines closer than 0.1° are merged.

Main lines, by angle (2θ = 15–90°):
two_theta, Rel. int.
29.8, 67
30.4, 91
30.7, 100
30.9, 90
41.7, 48
43.9, 68

Structural model:
Unit cell a=9.165 b=5.795 c=10.861 alpha=90.00 beta=90.00 gamma=90.00
Element x y z (fractional)
1 Rb 0.159 0.250 0.207
2 Rb 0.341 0.750 0.707
3 Rb 0.659 0.250 0.293
4 Rb 0.841 0.750 0.793
5 Hg 0.155 0.750 0.997
6 Hg 0.345 0.250 0.497
7 Hg 0.655 0.750 0.503
8 Hg 0.845 0.250 0.003
9 Bi 0.019 0.250 0.579
10 Bi 0.133 0.250 0.850
11 Bi 0.367 0.750 0.350
12 Bi 0.481 0.750 0.079
13 Bi 0.519 0.250 0.921
14 Bi 0.633 0.250 0.650
15 Bi 0.867 0.750 0.150
16 Bi 0.981 0.750 0.421


For Rb2Hg6BiSb, a structure optimized by DFT (GGA-PBE) gives the computed XRD peak list in this record (a wavelength of 1.5418 Å).
Lines closer than 0.1° are merged.

Main lines, by angle (2θ = 15–90°):
two_theta, Rel. int.
16.6, 36
28.2, 64
30.0, 100
35.0, 37
38.1, 39
46.0, 42

Structural model:
Unit cell a=14.897 b=14.897 c=14.897 alpha=30.70 beta=30.70 gamma=30.70
Element x y z (fractional)
1 Rb 0.132 0.132 0.132
2 Rb 0.290 0.290 0.290
3 Rb 0.710 0.710 0.710
4 Rb 0.868 0.868 0.868
5 Hg 0.053 0.659 0.659
6 Hg 0.204 0.204 0.752
7 Hg 0.204 0.752 0.204
8 Hg 0.248 0.796 0.796
9 Hg 0.341 0.341 0.947
10 Hg 0.341 0.947 0.341
11 Hg 0.659 0.053 0.659
12 Hg 0.659 0.659 0.053
13 Hg 0.752 0.204 0.204
14 Hg 0.796 0.248 0.796
15 Hg 0.796 0.796 0.248
16 Hg 0.947 0.341 0.341
17 Bi 0.000 0.000 0.000
18 Bi 0.500 0.500 0.500
19 Sb 0.423 0.423 0.423
20 Sb 0.577 0.577 0.577